Theoretical X-ray diffraction stick pattern of Th3GaAs2Rh8 for Cu Kα (weighted mean of Kα1 and Kα2), from a structure optimized by DFT (GGA-PBE).
Intensities are scaled so that the largest is 100.

Largest 6 diffraction maxima, by angle, 2θ = 15–90°:
(1 1 0), 32.5°, rel. 91; (1 0 3), 33.6°, rel. 68; (1 1 2), 37.6°, rel. 100; (0 2 1), 38.9°, rel. 96; (0 1 4), 42.0°, rel. 94; (1 2 4), 64.5°, rel. 53

```
data_Th3GaAs2Rh8
_chemical_formula_sum 'Th3 Ga1 As2 Rh8'
_symmetry_space_group_name_H-M 'P -3 m 1'
_symmetry_Int_Tables_number 164
_symmetry_space_group_name_Hall '-P 3 2"'
_cell_length_a 5.5149
_cell_length_b 5.5149
_cell_length_c 9.6355
_cell_angle_alpha 90.00
_cell_angle_beta 90.00
_cell_angle_gamma 120.00
loop_
_atom_site_label
_atom_site_fract_x
_atom_site_fract_y
_atom_site_fract_z
_atom_site_occupancy
Th1 0.0000 0.0000 0.0000 1
Th2 0.3333 0.6667 0.5692 1
Ga1 0.0000 0.0000 0.5000 1
As1 0.3333 0.6667 0.0939 1
Rh1 0.1645 0.3291 0.2834 1
Rh2 0.3333 0.6667 0.8427 1
```